No. 1
Computed powder diffraction line list of LiMnSiO4 for Cu Kα, from a structure optimized by DFT (PBE+U).
Intensities are scaled so that the largest is 100.

Cell and atoms:
Unit cell a=5.728 b=10.284 c=10.330 alpha=90.00 beta=90.60 gamma=90.00
Space group P2_1/c (No. 14)
Asymmetric unit:
Li: 0.121 0.160 0.352 x4
Li: 0.364 0.628 0.104 x4
Mn: 0.155 0.627 0.519 x4
Mn: 0.362 0.091 0.777 x4
Si: 0.124 0.607 0.830 x4
Si: 0.375 0.147 0.084 x4
O: 0.107 0.011 0.670 x4
O: 0.116 0.696 0.694 x4
O: 0.118 0.699 0.962 x4
O: 0.147 0.050 0.080 x4
O: 0.327 0.247 0.201 x4
O: 0.363 0.519 0.836 x4
O: 0.380 0.566 0.382 x4
O: 0.418 0.208 0.940 x4

Peak list (12 most intense, 10° ≤ 2θ ≤ 90°, by intensity)
2θ = 12.14°, intensity 100, hkl 0 1 1; 2θ = 32.45°, intensity 59, hkl 2 1 0; 2θ = 19.28°, intensity 54, hkl 0 2 1; 2θ = 31.40°, intensity 38, hkl 1 1 -3; 2θ = 35.19°, intensity 34, hkl 1 2 3; 2θ = 27.37°, intensity 31, hkl 0 3 1; 2θ = 31.27°, intensity 21, hkl 0 2 3; 2θ = 33.71°, intensity 16, hkl 2 1 1; 2θ = 24.89°, intensity 14, hkl 1 1 2; 2θ = 24.66°, intensity 11, hkl 1 1 -2; 2θ = 65.15°, intensity 10, hkl 4 0 0; 2θ = 36.89°, intensity 10, hkl 2 2 -1

No. 2
Computed powder diffraction line list of Li3MnP2O8 for Cu Kα, from a structure optimized by DFT (PBE+U).
Intensities are scaled so that the largest is 100.

Cell and atoms:
Unit cell a=4.741 b=6.060 c=10.100 alpha=90.00 beta=92.24 gamma=90.00
Space group P2_1/m (No. 11)
Asymmetric unit:
Li: 0.000 0.000 0.000 x2
Li: 0.024 0.250 0.285 x2
Li: 0.500 0.000 0.500 x2
Mn: 0.470 0.250 0.783 x2
P: 0.095 0.750 0.396 x2
P: 0.433 0.750 0.909 x2
O: 0.195 0.750 0.543 x2
O: 0.226 0.547 0.326 x4
O: 0.238 0.250 0.617 x2
O: 0.247 0.250 0.084 x2
O: 0.294 0.545 0.840 x4
O: 0.303 0.750 0.053 x2

Peak list (12 most intense, 10° ≤ 2θ ≤ 90°, by intensity)
2θ = 17.07°, intensity 100, hkl 0 1 1; 2θ = 22.94°, intensity 65, hkl 0 1 2; 2θ = 29.48°, intensity 61, hkl 0 2 0; 2θ = 20.40°, intensity 54, hkl 1 0 -1; 2θ = 36.50°, intensity 53, hkl 1 1 3; 2θ = 35.37°, intensity 41, hkl 1 1 -3; 2θ = 18.73°, intensity 38, hkl 1 0 0; 2θ = 26.30°, intensity 37, hkl 1 0 2; 2θ = 21.03°, intensity 36, hkl 1 0 1; 2θ = 39.22°, intensity 36, hkl 1 2 -2; 2θ = 36.12°, intensity 29, hkl 1 2 -1; 2θ = 41.59°, intensity 27, hkl 2 1 -1

No. 3
Computed powder diffraction line list of VH10SO10 for Cu Kα, from a structure optimized by DFT (PBE+U).
Intensities are scaled so that the largest is 100.

Cell and atoms:
Unit cell a=7.487 b=9.242 c=6.265 alpha=90.00 beta=90.00 gamma=90.00
Space group Pmn2_1 (No. 31)
Asymmetric unit:
V: 0.000 0.217 0.000 x2
H: 0.000 0.222 0.540 x2
H: 0.000 0.387 0.592 x2
H: 0.158 0.991 0.815 x4
H: 0.178 0.472 0.006 x4
H: 0.200 0.871 0.297 x4
H: 0.246 0.640 0.689 x4
S: 0.000 0.732 0.956 x2
O: 0.000 0.156 0.245 x2
O: 0.000 0.292 0.660 x2
O: 0.000 0.786 0.178 x2
O: 0.000 0.851 0.797 x2
O: 0.163 0.639 0.919 x4
O: 0.196 0.087 0.873 x4
O: 0.197 0.367 0.042 x4

Peak list (12 most intense, 10° ≤ 2θ ≤ 90°, by intensity)
2θ = 18.47°, intensity 100, hkl 1 0 1; 2θ = 19.21°, intensity 36, hkl 0 2 0; 2θ = 30.74°, intensity 30, hkl 2 2 0; 2θ = 26.77°, intensity 28, hkl 1 2 1; 2θ = 33.98°, intensity 13, hkl 2 2 1; 2θ = 23.77°, intensity 10, hkl 2 0 0; 2θ = 43.68°, intensity 8, hkl 3 2 1; 2θ = 32.45°, intensity 8, hkl 1 1 2; 2θ = 23.93°, intensity 8, hkl 0 2 1; 2θ = 28.49°, intensity 8, hkl 0 0 2; 2θ = 56.21°, intensity 7, hkl 3 4 1; 2θ = 34.59°, intensity 7, hkl 0 2 2

No. 4
Computed powder diffraction line list of Li2FeBO4 for Cu Kα, from a structure optimized by DFT (PBE+U).
Intensities are scaled so that the largest is 100.

Cell and atoms:
Unit cell a=10.541 b=5.861 c=5.001 alpha=90.00 beta=90.00 gamma=90.00
Space group Pnma (No. 62)
Asymmetric unit:
Li: 0.169 0.004 0.176 x8
Fe: 0.076 0.250 0.679 x4
B: 0.089 0.750 0.671 x4
O: 0.055 0.250 0.289 x4
O: 0.103 0.750 0.369 x4
O: 0.148 0.539 0.784 x8

Peak list (12 most intense, 10° ≤ 2θ ≤ 90°, by intensity)
2θ = 24.54°, intensity 100, hkl 2 0 1; 2θ = 16.82°, intensity 76, hkl 2 0 0; 2θ = 19.65°, intensity 71, hkl 1 0 1; 2θ = 35.04°, intensity 66, hkl 2 2 0; 2θ = 35.91°, intensity 56, hkl 0 0 2; 2θ = 36.55°, intensity 49, hkl 1 2 1; 2θ = 37.42°, intensity 43, hkl 4 1 0; 2θ = 23.38°, intensity 42, hkl 0 1 1; 2θ = 30.51°, intensity 38, hkl 0 2 0; 2θ = 34.02°, intensity 35, hkl 4 0 0; 2θ = 40.13°, intensity 35, hkl 1 1 2; 2θ = 61.55°, intensity 32, hkl 6 2 0

No. 5
Computed powder diffraction line list of Li9Mn2Co5O16 for Cu Kα, from a structure optimized by DFT (PBE+U).
Intensities are scaled so that the largest is 100.

Cell and atoms:
Unit cell a=3.031 b=9.993 c=10.117 alpha=106.40 beta=91.55 gamma=92.46
Space group P1 (No. 1)
Asymmetric unit:
Li: 0.000 0.000 0.000 x1
Li: 0.001 0.995 0.489 x1
Li: 0.004 0.496 0.492 x1
Li: 0.496 0.746 0.999 x1
Li: 0.498 0.747 0.490 x1
Li: 0.501 0.997 0.244 x1
Li: 0.504 0.248 0.996 x1
Li: 0.505 0.248 0.490 x1
Li: 0.998 0.498 0.996 x1
Mn: 0.000 0.751 0.745 x1
Mn: 0.504 0.496 0.744 x1
Co: 0.002 0.238 0.242 x1
Co: 0.002 0.243 0.742 x1
Co: 0.497 0.999 0.743 x1
Co: 0.501 0.497 0.244 x1
Co: 0.999 0.757 0.246 x1
O: 0.004 0.856 0.129 x1
O: 0.005 0.627 0.354 x1
O: 0.028 0.878 0.632 x1
O: 0.033 0.369 0.628 x1
O: 0.472 0.373 0.357 x1
O: 0.474 0.877 0.860 x1
O: 0.479 0.861 0.358 x1
O: 0.491 0.121 0.628 x1
O: 0.507 0.371 0.860 x1
O: 0.524 0.133 0.130 x1
O: 0.529 0.621 0.131 x1
O: 0.532 0.622 0.627 x1
O: 0.970 0.120 0.856 x1
O: 0.971 0.623 0.860 x1
O: 0.997 0.368 0.134 x1
O: 0.998 0.138 0.358 x1

Peak list (12 most intense, 10° ≤ 2θ ≤ 90°, by intensity)
2θ = 18.30°, intensity 100, hkl 0 0 2; 2θ = 41.07°, intensity 34, hkl -1 2 2; 2θ = 43.67°, intensity 27, hkl 1 2 2; 2θ = 45.05°, intensity 24, hkl 0 4 -4; 2θ = 34.22°, intensity 20, hkl 1 -2 0; 2θ = 35.94°, intensity 13, hkl 1 2 0; 2θ = 36.86°, intensity 10, hkl 0 4 -2; 2θ = 61.28°, intensity 9, hkl 2 0 0; 2θ = 61.71°, intensity 8, hkl 0 4 4; 2θ = 62.51°, intensity 8, hkl 1 2 -6; 2θ = 62.66°, intensity 8, hkl 1 -6 2; 2θ = 63.95°, intensity 7, hkl 1 -2 6

No. 6
Computed powder diffraction line list of Na2LiNiF6 for Cu Kα, from a structure optimized by DFT (PBE+U).
Intensities are scaled so that the largest is 100.

Cell and atoms:
Unit cell a=7.739 b=7.739 c=7.739 alpha=90.00 beta=90.00 gamma=90.00
Space group Fm-3m (No. 225)
Asymmetric unit:
Na: 0.250 0.250 0.250 x8
Li: 0.000 0.000 0.000 x4
Ni: 0.000 0.000 0.500 x4
F: 0.000 0.000 0.257 x24

Peak list (12 most intense, 10° ≤ 2θ ≤ 90°, by intensity)
2θ = 19.87°, intensity 100, hkl 1 1 1; 2θ = 46.96°, intensity 92, hkl 4 0 0; 2θ = 32.73°, intensity 63, hkl 2 2 0; 2θ = 22.98°, intensity 49, hkl 2 0 0; 2θ = 68.60°, intensity 47, hkl 4 4 0; 2θ = 38.58°, intensity 43, hkl 3 1 1; 2θ = 40.37°, intensity 32, hkl 2 2 2; 2θ = 58.42°, intensity 24, hkl 4 2 2; 2θ = 52.91°, intensity 16, hkl 4 2 0; 2θ = 62.34°, intensity 16, hkl 5 1 1; 2θ = 51.47°, intensity 14, hkl 3 3 1; 2θ = 72.22°, intensity 14, hkl 5 3 1

No. 7
Computed powder diffraction line list of Li10Ti2Fe3Ni3O16 for Cu Kα, from a structure optimized by DFT (PBE+U).
Intensities are scaled so that the largest is 100.

Cell and atoms:
Unit cell a=5.956 b=5.974 c=9.827 alpha=89.74 beta=89.49 gamma=60.32
Space group P1 (No. 1)
Asymmetric unit:
Li: 0.000 0.000 0.000 x1
Li: 0.001 0.408 0.000 x1
Li: 0.198 0.601 0.065 x1
Li: 0.205 0.600 0.562 x1
Li: 0.398 0.796 0.494 x1
Li: 0.400 0.212 0.493 x1
Li: 0.535 0.935 0.283 x1
Li: 0.586 0.408 0.993 x1
Li: 0.810 0.799 0.497 x1
Li: 0.864 0.272 0.783 x1
Ti: 0.545 0.920 0.022 x1
Ti: 0.882 0.255 0.521 x1
Fe: 0.371 0.767 0.762 x1
Fe: 0.373 0.257 0.765 x1
Fe: 0.548 0.426 0.264 x1
Ni: 0.036 0.429 0.263 x1
Ni: 0.036 0.938 0.262 x1
Ni: 0.865 0.768 0.762 x1
O: 0.025 0.946 0.626 x1
O: 0.038 0.424 0.634 x1
O: 0.182 0.111 0.393 x1
O: 0.208 0.590 0.871 x1
O: 0.215 0.595 0.370 x1
O: 0.219 0.101 0.894 x1
O: 0.377 0.769 0.132 x1
O: 0.381 0.259 0.136 x1
O: 0.531 0.939 0.644 x1
O: 0.550 0.415 0.632 x1
O: 0.688 0.093 0.889 x1
O: 0.697 0.623 0.898 x1
O: 0.711 0.579 0.391 x1
O: 0.712 0.113 0.389 x1
O: 0.855 0.777 0.130 x1
O: 0.862 0.271 0.145 x1

Peak list (12 most intense, 10° ≤ 2θ ≤ 90°, by intensity)
2θ = 44.52°, intensity 100, hkl 2 2 3; 2θ = 18.05°, intensity 84, hkl 0 0 2; 2θ = 19.35°, intensity 83, hkl 1 1 1; 2θ = 35.80°, intensity 51, hkl 2 0 1; 2θ = 44.85°, intensity 50, hkl 2 0 -3; 2θ = 19.47°, intensity 41, hkl 1 0 -1; 2θ = 35.06°, intensity 31, hkl 2 1 2; 2θ = 35.95°, intensity 30, hkl 2 2 1; 2θ = 39.25°, intensity 30, hkl 0 2 -2; 2θ = 32.28°, intensity 26, hkl 0 1 -3; 2θ = 24.93°, intensity 24, hkl 1 1 2; 2θ = 61.92°, intensity 23, hkl 2 -2 0